(1)
Structure and calculated powder diffraction line list of Mn2P12W (a cell relaxed with GGA-PBE; Cu Kα (λ = 1.5418 Å)).
No peak broadening, texture or thermal motion is included.

Main lines, low angle first (10° ≤ 2θ ≤ 90°):
12.3 deg, d 7.206, rel. 35, (2 0 0)
17.3 deg, d 5.136, rel. 58, (2 0 -2)
20.4 deg, d 4.362, rel. 100, (1 1 1)
22.8 deg, d 3.903, rel. 38, (3 1 -1)
26.6 deg, d 3.356, rel. 49, (2 0 2)
30.4 deg, d 2.943, rel. 83, (3 1 -3)
32.3 deg, d 2.774, rel. 64, (5 1 -1)
33.4 deg, d 2.682, rel. 34, (2 2 -1)
51.4 deg, d 1.777, rel. 48, (3 3 0)
51.8 deg, d 1.763, rel. 65, (7 1 1)

Structural model:
```
data_Mn2P12W
_symmetry_space_group_name_H-M 'C 1 2/c 1'
_symmetry_Int_Tables_number 15
_cell_length_a 16.018
_cell_length_b 5.739
_cell_length_c 10.588
_cell_angle_alpha 90.00
_cell_angle_beta 115.88
_cell_angle_gamma 90.00
loop_
_symmetry_equiv_pos_as_xyz
'x,y,z'
'-x,-y,-z'
'-x,y,-z+1/2'
'x,-y,z+1/2'
'x+1/2,y+1/2,z'
'-x+1/2,-y+1/2,-z'
'-x+1/2,y+1/2,-z+1/2'
'x+1/2,-y+1/2,z+1/2'
loop_
_atom_site_label
_atom_site_fract_x
_atom_site_fract_y
_atom_site_fract_z
Mn1 0.180 0.192 0.046
P1 0.033 0.043 0.926
P2 0.061 0.359 0.666
P3 0.116 0.448 0.503
P4 0.152 0.176 0.240
P5 0.178 0.175 0.836
P6 0.227 0.176 0.576
W1 0.000 0.305 0.250
```

---

(2)
Structure and calculated powder diffraction line list of VPt (a cell relaxed with GGA-PBE; Cu Kα (λ = 1.5418 Å)).
No peak broadening, texture or thermal motion is included.

Main lines, low angle first (10° ≤ 2θ ≤ 90°):
19.9 deg, d 4.464, rel. 66, (0 0 3)
38.5 deg, d 2.339, rel. 39, (1 0 1)
40.3 deg, d 2.239, rel. 100, (0 1 2)
40.4 deg, d 2.232, rel. 33, (0 0 6)
46.9 deg, d 1.938, rel. 65, (1 0 4)
51.4 deg, d 1.778, rel. 18, (0 1 5)
62.3 deg, d 1.490, rel. 14, (1 0 7)
68.4 deg, d 1.372, rel. 21, (1 1 0)
68.6 deg, d 1.369, rel. 20, (0 1 8)
82.5 deg, d 1.169, rel. 37, (2 0 2)

Structural model:
```
data_VPt
_symmetry_space_group_name_H-M 'R -3 m'
_symmetry_Int_Tables_number 166
_symmetry_space_group_name_Hall '-R 3 2"'
_cell_length_a 2.7436
_cell_length_b 2.7436
_cell_length_c 13.3935
_cell_angle_alpha 90.00
_cell_angle_beta 90.00
_cell_angle_gamma 120.00
loop_
_atom_site_label
_atom_site_fract_x
_atom_site_fract_y
_atom_site_fract_z
V1 0.0000 0.0000 0.0000
Pt1 0.0000 0.0000 0.5000
```

---

(3)
Structure and calculated powder diffraction line list of HoAl7Au3 (a cell relaxed with GGA-PBE; Cu Kα (λ = 1.5418 Å)).
No peak broadening, texture or thermal motion is included.

Main lines, low angle first (10° ≤ 2θ ≤ 90°):
25.4 deg, d 3.510, rel. 100, (1 1 3)
33.7 deg, d 2.657, rel. 36, (1 1 6)
38.5 deg, d 2.336, rel. 38, (3 0 0)
44.6 deg, d 2.031, rel. 31, (1 1 9)
46.7 deg, d 1.946, rel. 43, (2 2 3)
52.1 deg, d 1.754, rel. 9, (2 2 6)
62.1 deg, d 1.495, rel. 18, (4 1 3)
66.5 deg, d 1.406, rel. 18, (3 0 12)
66.7 deg, d 1.403, rel. 12, (1 4 6)
74.0 deg, d 1.282, rel. 11, (4 1 9)

Structural model:
```
data_HoAl7Au3
_symmetry_space_group_name_H-M 'R -3 c'
_symmetry_Int_Tables_number 167
_symmetry_space_group_name_Hall '-R 3 2"c'
_cell_length_a 8.0935
_cell_length_b 8.0935
_cell_length_c 21.1338
_cell_angle_alpha 90.00
_cell_angle_beta 90.00
_cell_angle_gamma 120.00
loop_
_atom_site_label
_atom_site_fract_x
_atom_site_fract_y
_atom_site_fract_z
Ho1 0.0000 0.0000 0.0000
Al1 0.0000 0.0000 0.2500
Al2 0.0104 0.2065 0.1368
Au1 0.0000 0.3242 0.2500
```

---

(4)
Structure and calculated powder diffraction line list of CuPtO2 (a cell relaxed with GGA-PBE; Cu Kα (λ = 1.5418 Å)).
No peak broadening, texture or thermal motion is included.

Main lines, low angle first (10° ≤ 2θ ≤ 90°):
20.7 deg, d 4.299, rel. 15, (0 1 0)
26.7 deg, d 3.341, rel. 17, (1 0 1)
34.0 deg, d 2.639, rel. 100, (1 1 1)
41.9 deg, d 2.156, rel. 9, (0 0 2)
55.0 deg, d 1.671, rel. 13, (2 0 2)
55.1 deg, d 1.668, rel. 13, (2 2 0)
60.7 deg, d 1.525, rel. 16, (3 1 1)
60.9 deg, d 1.522, rel. 9, (0 2 2)
71.5 deg, d 1.320, rel. 17, (1 1 3)
71.7 deg, d 1.317, rel. 9, (1 3 1)

Structural model:
```
data_CuPtO2
_symmetry_space_group_name_H-M 'P m n a'
_symmetry_Int_Tables_number 53
_cell_length_a 5.287
_cell_length_b 4.299
_cell_length_c 4.312
_cell_angle_alpha 90.00
_cell_angle_beta 90.00
_cell_angle_gamma 90.00
loop_
_symmetry_equiv_pos_as_xyz
'x,y,z'
'-x,-y,-z'
'-x+1/2,-y,z+1/2'
'x+1/2,y,-z+1/2'
'x,-y,-z'
'-x,y,z'
'-x+1/2,y,-z+1/2'
'x+1/2,-y,z+1/2'
loop_
_atom_site_label
_atom_site_fract_x
_atom_site_fract_y
_atom_site_fract_z
Cu1 0.000 0.000 0.000
Pt1 0.000 0.500 0.500
O1 0.250 0.238 0.250
```

---

(5)
Structure and calculated powder diffraction line list of Na2BeF4 (a cell relaxed with GGA-PBE; Cu Kα (λ = 1.5418 Å)).
No peak broadening, texture or thermal motion is included.

Main lines, low angle first (10° ≤ 2θ ≤ 90°):
20.9 deg, d 4.258, rel. 43, (2 1 0)
23.8 deg, d 3.740, rel. 39, (1 1 1)
30.2 deg, d 2.963, rel. 81, (3 0 1)
33.5 deg, d 2.678, rel. 70, (1 2 1)
36.4 deg, d 2.471, rel. 100, (2 2 1)
37.2 deg, d 2.419, rel. 75, (4 0 1)
48.7 deg, d 1.870, rel. 99, (2 2 2)
49.3 deg, d 1.848, rel. 36, (4 0 2)
52.9 deg, d 1.730, rel. 34, (4 3 0)
57.0 deg, d 1.615, rel. 36, (6 2 0)

Structural model:
```
data_Na2BeF4
_symmetry_space_group_name_H-M 'P n m a'
_symmetry_Int_Tables_number 62
_cell_length_a 11.091
_cell_length_b 6.647
_cell_length_c 4.955
_cell_angle_alpha 90.00
_cell_angle_beta 90.00
_cell_angle_gamma 90.00
loop_
_symmetry_equiv_pos_as_xyz
'x,y,z'
'-x,-y,-z'
'-x+1/2,-y,z+1/2'
'x+1/2,y,-z+1/2'
'x+1/2,-y+1/2,-z+1/2'
'-x+1/2,y+1/2,z+1/2'
'-x,y+1/2,-z'
'x,-y+1/2,z'
loop_
_atom_site_label
_atom_site_fract_x
_atom_site_fract_y
_atom_site_fract_z
Na1 0.000 0.000 0.000
Na2 0.220 0.250 0.488
Be1 0.096 0.750 0.426
F1 0.036 0.250 0.696
F2 0.094 0.750 0.740
F3 0.161 0.559 0.304
```

---

(6)
Structure and calculated powder diffraction line list of NaH9O5 (a cell relaxed with GGA-PBE; Cu Kα (λ = 1.5418 Å)).
No peak broadening, texture or thermal motion is included.

Main lines, low angle first (10° ≤ 2θ ≤ 90°):
23.3 deg, d 3.826, rel. 50, (1 0 1)
25.5 deg, d 3.487, rel. 100, (1 0 -1)
26.2 deg, d 3.406, rel. 68, (1 1 2)
28.2 deg, d 3.162, rel. 36, (0 1 -2)
30.4 deg, d 2.936, rel. 57, (0 2 -1)
34.9 deg, d 2.568, rel. 44, (0 3 1)
35.6 deg, d 2.523, rel. 22, (0 3 2)
36.3 deg, d 2.477, rel. 25, (1 1 -2)
36.7 deg, d 2.451, rel. 23, (1 0 3)
43.2 deg, d 2.095, rel. 56, (2 1 1)

Structural model:
```
data_NaH9O5
_symmetry_space_group_name_H-M 'P 1'
_symmetry_Int_Tables_number 1
_cell_length_a 4.191
_cell_length_b 7.964
_cell_length_c 9.279
_cell_angle_alpha 66.37
_cell_angle_beta 78.37
_cell_angle_gamma 76.32
loop_
_symmetry_equiv_pos_as_xyz
'x,y,z'
loop_
_atom_site_label
_atom_site_fract_x
_atom_site_fract_y
_atom_site_fract_z
Na1 0.000 0.000 0.000
Na2 0.086 0.493 0.310
H1 0.008 0.634 0.975
H2 0.080 0.218 0.201
H3 0.119 0.820 0.352
H4 0.260 0.089 0.358
H5 0.359 0.716 0.595
H6 0.384 0.641 0.966
H7 0.458 0.293 0.809
H8 0.490 0.914 0.560
H9 0.521 0.429 0.556
H10 0.574 0.473 0.807
H11 0.581 0.890 0.925
H12 0.598 0.025 0.736
H13 0.599 0.265 0.495
H14 0.614 0.228 0.162
H15 0.742 0.817 0.373
H16 0.811 0.376 0.008
H17 0.891 0.970 0.582
H18 0.981 0.545 0.814
O1 0.164 0.671 0.023
O2 0.249 0.211 0.272
O3 0.369 0.841 0.514
O4 0.438 0.428 0.753
O5 0.549 0.024 0.865
O6 0.557 0.406 0.456
O7 0.658 0.025 0.595
O8 0.778 0.562 0.883
O9 0.833 0.239 0.094
O10 0.951 0.802 0.303
```

---

(7)
Structure and calculated powder diffraction line list of Ga3Ag (a cell relaxed with GGA-PBE; Cu Kα (λ = 1.5418 Å)).
No peak broadening, texture or thermal motion is included.

Main lines, low angle first (10° ≤ 2θ ≤ 90°):
24.7 deg, d 3.598, rel. 5, (1 0 1)
34.9 deg, d 2.571, rel. 32, (0 0 2)
35.7 deg, d 2.518, rel. 23, (2 0 0)
39.9 deg, d 2.261, rel. 100, (2 0 1)
50.7 deg, d 1.799, rel. 16, (2 0 2)
64.1 deg, d 1.454, rel. 16, (2 2 0)
65.9 deg, d 1.417, rel. 21, (2 0 3)
75.1 deg, d 1.265, rel. 19, (2 2 2)
78.2 deg, d 1.223, rel. 13, (4 0 1)
84.6 deg, d 1.145, rel. 4, (2 0 4)

Structural model:
```
data_Ga3Ag
_symmetry_space_group_name_H-M 'P 63/m m c'
_symmetry_Int_Tables_number 194
_symmetry_space_group_name_Hall '-P 6c 2c'
_cell_length_a 5.8144
_cell_length_b 5.8144
_cell_length_c 5.1428
_cell_angle_alpha 90.00
_cell_angle_beta 90.00
_cell_angle_gamma 120.00
loop_
_atom_site_label
_atom_site_fract_x
_atom_site_fract_y
_atom_site_fract_z
Ga1 0.1665 0.3330 0.2500
Ag1 0.3333 0.6667 0.7500
```

---

(8)
Structure and calculated powder diffraction line list of Mg6SiW (a cell relaxed with GGA-PBE; Cu Kα (λ = 1.5418 Å)).
No peak broadening, texture or thermal motion is included.

Main lines, low angle first (10° ≤ 2θ ≤ 90°):
16.9 deg, d 5.256, rel. 100, (0 0 2)
18.5 deg, d 4.791, rel. 23, (1 0 0)
25.2 deg, d 3.541, rel. 62, (1 1 1)
29.4 deg, d 3.034, rel. 25, (0 1 3)
34.1 deg, d 2.628, rel. 35, (0 2 2)
35.0 deg, d 2.564, rel. 29, (1 2 0)
37.5 deg, d 2.395, rel. 23, (2 0 0)
39.1 deg, d 2.304, rel. 93, (1 0 4)
49.7 deg, d 1.835, rel. 27, (1 1 5)
51.6 deg, d 1.770, rel. 22, (2 2 2)

Structural model:
```
data_Mg6SiW
_symmetry_space_group_name_H-M 'A m m 2'
_symmetry_Int_Tables_number 38
_cell_length_a 4.791
_cell_length_b 6.074
_cell_length_c 10.503
_cell_angle_alpha 90.00
_cell_angle_beta 90.00
_cell_angle_gamma 90.00
loop_
_symmetry_equiv_pos_as_xyz
'x,y,z'
'-x,-y,z'
'-x,y,z'
'x,-y,z'
'x,y+1/2,z+1/2'
'-x,-y+1/2,z+1/2'
'-x,y+1/2,z+1/2'
'x,-y+1/2,z+1/2'
loop_
_atom_site_label
_atom_site_fract_x
_atom_site_fract_y
_atom_site_fract_z
Mg1 0.000 0.000 0.000
Mg2 0.000 0.242 0.747
Mg3 0.500 0.000 0.162
Mg4 0.500 0.247 0.411
Si1 0.000 0.000 0.528
W1 0.500 0.000 0.649
```

---

Please write out number 3 again, unchanged.
Structure and calculated powder diffraction line list of HoAl7Au3 (a cell relaxed with GGA-PBE; Cu Kα (λ = 1.5418 Å)).
No peak broadening, texture or thermal motion is included.

Main lines, low angle first (10° ≤ 2θ ≤ 90°):
25.4 deg, d 3.510, rel. 100, (1 1 3)
33.7 deg, d 2.657, rel. 36, (1 1 6)
38.5 deg, d 2.336, rel. 38, (3 0 0)
44.6 deg, d 2.031, rel. 31, (1 1 9)
46.7 deg, d 1.946, rel. 43, (2 2 3)
52.1 deg, d 1.754, rel. 9, (2 2 6)
62.1 deg, d 1.495, rel. 18, (4 1 3)
66.5 deg, d 1.406, rel. 18, (3 0 12)
66.7 deg, d 1.403, rel. 12, (1 4 6)
74.0 deg, d 1.282, rel. 11, (4 1 9)

Structural model:
```
data_HoAl7Au3
_symmetry_space_group_name_H-M 'R -3 c'
_symmetry_Int_Tables_number 167
_symmetry_space_group_name_Hall '-R 3 2"c'
_cell_length_a 8.0935
_cell_length_b 8.0935
_cell_length_c 21.1338
_cell_angle_alpha 90.00
_cell_angle_beta 90.00
_cell_angle_gamma 120.00
loop_
_atom_site_label
_atom_site_fract_x
_atom_site_fract_y
_atom_site_fract_z
Ho1 0.0000 0.0000 0.0000
Al1 0.0000 0.0000 0.2500
Al2 0.0104 0.2065 0.1368
Au1 0.0000 0.3242 0.2500
```